No. 1
Zn5Ni12B2: simulated PXRD pattern (a wavelength of 1.5418 Å), based on a cell relaxed with PBE.
No peak broadening, texture or thermal motion is included.

```
19
Lattice="5.324 -3.352 0.000 5.324 3.352 0.000 -0.811 0.000 6.041" Properties=species:S:1:pos:R:3 pbc="T T T"
Zn 0.000 0.000 0.000
Zn 2.519 0.000 0.608
Zn 2.768 0.000 3.263
Zn 7.069 0.000 2.778
Zn 7.318 0.000 5.433
Ni 3.604 2.134 1.573
Ni 0.546 0.000 2.296
Ni 3.409 1.269 5.366
Ni 6.232 2.134 4.469
Ni 6.428 1.269 0.676
Ni 4.741 0.000 1.785
Ni 5.095 0.000 4.256
Ni 3.409 -1.269 5.366
Ni 3.604 -2.134 1.573
Ni 6.428 -1.269 0.676
Ni 9.291 0.000 3.745
Ni 6.232 -2.134 4.469
B 4.918 1.642 3.021
B 4.918 -1.642 3.021
```

Peak list (12 most intense, 2θ = 10–90°, by angle)
| Position (°2θ) | I (rel.) |
| --- | --- |
| 26.6 | 147 |
| 30.5 | 143 |
| 42.2 | 424 |
| 43.7 | 1000 |
| 44.2 | 775 |
| 45.7 | 673 |
| 46.1 | 497 |
| 47.9 | 214 |
| 50.9 | 279 |
| 51.8 | 176 |
| 85.3 | 168 |
| 86.3 | 165 |

No. 2
ZnCdTe2: simulated PXRD pattern (a wavelength of 1.5418 Å), based on a cell relaxed with PBE.
No peak broadening, texture or thermal motion is included.

```
8
Lattice="4.507 0.000 0.000 0.000 4.507 0.000 0.000 0.000 12.800" Properties=species:S:1:pos:R:3 pbc="T T T"
Zn 1.127 3.380 3.200
Zn 3.380 1.127 9.600
Cd 1.127 3.380 9.600
Cd 3.380 1.127 3.200
Te 1.127 1.127 1.467
Te 1.127 1.127 7.866
Te 3.380 3.380 4.933
Te 3.380 3.380 11.333
```

Peak list (12 most intense, 2θ = 10–90°, by angle)
| Position (°2θ) | I (rel.) |
| --- | --- |
| 13.8 | 298 |
| 24.2 | 833 |
| 31.4 | 340 |
| 40.0 | 1000 |
| 42.5 | 72 |
| 47.1 | 118 |
| 47.3 | 269 |
| 57.9 | 112 |
| 59.7 | 85 |
| 63.5 | 96 |
| 72.4 | 96 |
| 72.6 | 215 |

No. 3
La4Nd3UP8: simulated PXRD pattern (a wavelength of 1.5418 Å), based on a cell relaxed with PBE.
No peak broadening, texture or thermal motion is included.

```
16
Lattice="4.184 2.416 6.853 -4.184 2.416 6.853 0.000 -4.832 6.853" Properties=species:S:1:pos:R:3 pbc="T T T"
La 0.000 0.000 0.000
La -2.092 -1.208 6.853
La -2.092 1.208 13.706
La 0.000 2.416 6.853
Nd -4.184 0.000 10.280
Nd -2.092 1.208 3.427
Nd 2.092 1.208 3.427
U 0.000 0.000 10.280
P 0.000 0.000 5.113
P -2.022 -1.167 11.902
P 0.000 -2.334 8.657
P -2.022 1.167 8.657
P 2.022 -1.167 11.902
P 0.000 2.334 11.902
P 2.022 1.167 8.657
P 0.000 0.000 15.446
```

Peak list (12 most intense, 2θ = 10–90°, by angle)
| Position (°2θ) | I (rel.) |
| --- | --- |
| 26.1 | 827 |
| 30.2 | 1000 |
| 43.2 | 737 |
| 51.1 | 314 |
| 51.2 | 104 |
| 53.6 | 194 |
| 62.7 | 120 |
| 69.1 | 87 |
| 69.2 | 85 |
| 71.1 | 166 |
| 71.3 | 166 |
| 79.3 | 187 |

No. 4
LaLuZr: simulated PXRD pattern (a wavelength of 1.5418 Å), based on a cell relaxed with PBE.
No peak broadening, texture or thermal motion is included.

```
3
Lattice="-1.688 1.688 7.678 1.688 -1.688 7.678 1.688 1.688 -7.678" Properties=species:S:1:pos:R:3 pbc="T T T"
La 0.000 0.000 0.000
Lu 0.000 0.000 10.585
Zr 0.000 0.000 5.115
```

Peak list (12 most intense, 2θ = 10–90°, by angle)
| Position (°2θ) | I (rel.) |
| --- | --- |
| 23.2 | 63 |
| 27.0 | 66 |
| 31.7 | 1000 |
| 35.1 | 167 |
| 37.7 | 329 |
| 49.6 | 64 |
| 52.4 | 211 |
| 54.3 | 114 |
| 60.8 | 105 |
| 64.3 | 260 |
| 66.3 | 103 |
| 86.0 | 80 |

No. 5
Al3V12Ga: simulated PXRD pattern (a wavelength of 1.5418 Å), based on a cell relaxed with PBE.
No peak broadening, texture or thermal motion is included.

```
16
Lattice="4.788 0.000 0.000 0.000 4.870 0.000 0.000 0.000 9.471" Properties=species:S:1:pos:R:3 pbc="T T T"
Al 0.000 0.000 0.000
Al 2.394 2.435 2.368
Al 2.394 2.435 7.103
V 0.000 1.245 2.364
V 0.000 1.245 7.107
V 0.000 3.626 2.364
V 0.000 3.626 7.107
V 1.141 2.435 0.000
V 1.161 2.435 4.735
V 2.394 0.000 1.229
V 2.394 0.000 3.525
V 2.394 0.000 5.946
V 2.394 0.000 8.242
V 3.627 2.435 4.735
V 3.647 2.435 0.000
Ga 0.000 0.000 4.735
```

Peak list (12 most intense, 2θ = 10–90°, by angle)
| Position (°2θ) | I (rel.) |
| --- | --- |
| 36.9 | 296 |
| 37.6 | 283 |
| 38.0 | 273 |
| 41.7 | 1000 |
| 42.1 | 609 |
| 42.3 | 404 |
| 42.4 | 396 |
| 42.6 | 639 |
| 46.0 | 683 |
| 46.4 | 579 |
| 46.7 | 518 |
| 74.3 | 276 |